Computed powder diffraction line list of B5C7 for Cu Kα, 1.54184 Å, from a crystal structure in Alexandria, relaxed with GGA-PBE.
Peak positions follow from Bragg's law for the DFT cell and can differ from measured ones.

Principal peaks in the range 2θ from 10° to 80°, in order of falling intensity:
- 2θ 42.02, 2.150 Å, rel. 100.0, hkl 1 0 3
- 2θ 69.99, 1.344 Å, rel. 28.5, hkl 1 1 6
- 2θ 74.98, 1.267 Å, rel. 12.1, hkl 2 0 0
- 2θ 36.83, 2.441 Å, rel. 2.7, hkl 0 0 5
- 2θ 14.52, 6.101 Å, rel. 2.2, hkl 0 0 2
- 2θ 38.48, 2.340 Å, rel. 2.2, hkl 1 0 2
- 2θ 21.85, 4.068 Å, rel. 0.6, hkl 0 0 3
- 2θ 72.31, 1.307 Å, rel. 0.5, hkl 1 0 8

Structural model:
```
data_B5C7
_chemical_formula_sum 'B5 C7'
_symmetry_space_group_name_H-M 'P -4 m 2'
_symmetry_Int_Tables_number 115
_symmetry_space_group_name_Hall 'P -4 -2'
_cell_length_a 2.5332
_cell_length_b 2.5332
_cell_length_c 12.2026
_cell_angle_alpha 90.00
_cell_angle_beta 90.00
_cell_angle_gamma 90.00
loop_
_atom_site_label
_atom_site_type_symbol
_atom_site_fract_x
_atom_site_fract_y
_atom_site_fract_z
B1 B 0.0000 0.0000 0.0000
B2 B 0.0000 0.5000 0.4181
B3 B 0.5000 0.5000 0.1689
C1 C 0.0000 0.0000 0.3256
C2 C 0.0000 0.5000 0.0869
C3 C 0.0000 0.5000 0.7402
C4 C 0.5000 0.5000 0.5000
```